Computed powder XRD pattern
Compound: Pr3Ga9Ag2
Radiation: copper Kα
Structure: a GGA-PBE-relaxed structure

Largest 10 diffraction maxima, by angle, 2θ from 15° to 90°:
- 33.5 deg, I 19, hkl 1 3 0
- 33.7 deg, I 19, hkl 0 3 3
- 34.1 deg, I 100, hkl 1 2 3
- 35.5 deg, I 14, hkl 0 4 0
- 36.4 deg, I 12, hkl 1 3 2
- 41.3 deg, I 29, hkl 2 0 0
- 41.7 deg, I 20, hkl 0 0 6
- 60.1 deg, I 13, hkl 2 0 6
- 62.8 deg, I 12, hkl 1 6 3
- 70.7 deg, I 12, hkl 3 2 3

Structural model:
```
data_Pr3Ga9Ag2
_chemical_formula_sum 'Pr6 Ga18 Ag4'
_space_group_name_H-M_alt 'I m m m'
_space_group_IT_number 71
_space_group_name_Hall '-I 2 2'
_cell_length_a 4.370
_cell_length_b 10.126
_cell_length_c 12.997
_cell_angle_alpha 90.00
_cell_angle_beta 90.00
_cell_angle_gamma 90.00
loop_
_atom_site_label
_atom_site_fract_x
_atom_site_fract_y
_atom_site_fract_z
Pr1 0.000 0.000 0.000
Pr2 0.000 0.000 0.318
Ga1 0.000 0.271 0.139
Ga2 0.000 0.373 0.332
Ga3 0.000 0.500 0.000
Ag1 0.000 0.223 0.500
```